Entry 1:
Structure and theoretical powder diffractogram of TaGe2PbO8 (a crystal structure in Alexandria, relaxed with GGA-PBE; Cu Kα X-rays).
Lines closer than 0.1° are merged.

Principal peaks in the range 15° ≤ 2θ ≤ 90°, by angle:
2θ (°)  Rel. int.
22.10  30
25.58  100
36.49  72
45.09  27
59.34  41
65.67  30

```
12
Lattice="2.4616 1.4212 8.0489 -2.4616 1.4212 8.0489 0.0000 -2.8425 8.0489" Properties=species:S:1:pos:R:3 pbc="T T T"
Ta 0.0000 0.0000 0.0000
Ge 0.0000 0.0000 6.1948
Ge 0.0000 0.0000 17.9518
Pb 0.0000 0.0000 12.0733
O -0.7887 -1.5189 9.3196
O 0.0000 0.0000 4.4501
O -0.9211 -1.4425 14.8270
O -0.9211 1.4425 9.3196
O -0.7887 1.5189 14.8270
O 1.7098 0.0764 9.3196
O 0.0000 0.0000 19.6966
O 1.7098 -0.0764 14.8270
```

Entry 2:
Structure and theoretical powder diffractogram of TaGePbO5 (a crystal structure in Alexandria, relaxed with GGA-PBE; Cu Kα X-rays).
Lines closer than 0.1° are merged.

Principal peaks in the range 15° ≤ 2θ ≤ 90°, by angle:
2θ (°)  Rel. int.
24.97  96
27.63  81
31.40  100
31.98  60
33.99  39
51.29  31

```
16
Lattice="3.6063 -4.7627 0.0000 3.6063 4.7627 0.0000 -3.4465 0.0000 6.9188" Properties=species:S:1:pos:R:3 pbc="T T T"
Ta 0.0000 0.0000 0.0000
Ta -1.7233 0.0000 3.4594
Ge 1.0214 1.7790 5.1891
Ge 2.7447 -1.7790 1.7297
Pb 2.7447 1.7063 1.7297
Pb 1.0214 -1.7063 5.1891
O 2.7447 4.2801 1.7297
O -0.1517 2.8399 6.2712
O 0.0744 0.5459 4.1874
O 2.1945 2.8399 4.1070
O 1.7976 -0.5459 0.7280
O 1.9685 0.5459 6.1908
O 1.5715 -2.8399 2.8118
O 3.6917 -0.5459 2.7314
O 3.9178 -2.8399 0.6476
O 1.0214 -4.2801 5.1891
```

Entry 3:
Structure and theoretical powder diffractogram of Ge2TePbO8 (a crystal structure in Alexandria, relaxed with GGA-PBE; Cu Kα X-rays).
Lines closer than 0.1° are merged.

Principal peaks in the range 15° ≤ 2θ ≤ 90°, by angle:
2θ (°)  Rel. int.
19.30  77
21.72  53
29.82  100
30.29  69
32.18  69
36.69  69

```
12
Lattice="4.0934 -2.7809 0.0000 4.0934 2.7809 0.0000 -0.2137 0.0000 7.7915" Properties=species:S:1:pos:R:3 pbc="T T T"
Ge 1.0811 0.0000 2.2385
Ge 6.8919 0.0000 5.5530
Te 3.9865 0.0000 3.8957
Pb 4.0934 0.0000 0.0000
O 1.6368 0.0000 0.6335
O 3.8734 1.3235 5.3400
O 2.0712 0.0000 3.7303
O 4.0996 1.3235 2.4515
O 3.8734 -1.3235 5.3400
O 5.9018 0.0000 4.0611
O 4.0996 -1.3235 2.4515
O 6.3362 0.0000 7.1580
```